Structure and simulated powder X-ray diffraction pattern of Rb2PrInTe4 (DFT lattice parameters and positions (PBE); Cu Kα (weighted mean of Kα1 and Kα2)).

Main lines, in order of falling intensity (2θ = 15–90°):
two_theta	Rel. int.
26.46	100.0
37.45	74.3
26.02	54.0
60.70	20.0
46.92	19.5
38.33	18.6
45.96	17.0
37.20	16.6
61.34	12.7
68.73	10.5

Crystal structure
Unit cell a=9.609 b=9.609 c=9.609 alpha=121.48 beta=119.59 gamma=89.09
Sites, in units of the cell vectors:
1 Rb 0.000 0.000 0.000
2 Rb 0.500 0.000 0.000
3 Rb 0.500 0.000 0.500
4 Rb 0.500 0.500 0.500
5 Pr 0.000 0.500 0.500
6 Pr 0.500 0.500 0.000
7 In 0.000 0.000 0.500
8 In 0.000 0.500 0.000
9 Te 0.196 0.738 0.458
10 Te 0.219 0.262 0.958
11 Te 0.234 0.259 0.525
12 Te 0.234 0.710 0.975
13 Te 0.766 0.290 0.025
14 Te 0.766 0.741 0.475
15 Te 0.781 0.738 0.042
16 Te 0.804 0.262 0.542



Structure and simulated powder X-ray diffraction pattern of SrInGe2S6 (DFT lattice parameters and positions (PBE); Cu Kα (weighted mean of Kα1 and Kα2)).

Main lines, in order of falling intensity (2θ = 15–90°):
two_theta	Rel. int.
21.64	100.0
23.49	83.2
28.46	77.5
34.46	55.4
24.95	55.2
20.28	52.9
27.62	45.7
25.39	41.2
49.51	40.5
35.15	25.2

Crystal structure
Unit cell a=8.851 b=8.851 c=7.964 alpha=111.49 beta=111.49 gamma=78.55
Sites, in units of the cell vectors:
1 Sr 0.169 0.831 0.750
2 Sr 0.831 0.169 0.250
3 In 0.201 0.799 0.250
4 In 0.799 0.201 0.750
5 Ge 0.242 0.360 0.824
6 Ge 0.360 0.242 0.324
7 Ge 0.640 0.758 0.676
8 Ge 0.758 0.640 0.176
9 S 0.051 0.170 0.653
10 S 0.108 0.607 0.921
11 S 0.170 0.051 0.153
12 S 0.290 0.420 0.575
13 S 0.393 0.892 0.579
14 S 0.420 0.290 0.075
15 S 0.580 0.710 0.925
16 S 0.607 0.108 0.421
17 S 0.710 0.580 0.425
18 S 0.830 0.949 0.847
19 S 0.892 0.393 0.079
20 S 0.949 0.830 0.347



Structure and simulated powder X-ray diffraction pattern of AcNd2Al2Ag2 (DFT lattice parameters and positions (PBE); Cu Kα (weighted mean of Kα1 and Kα2)).

Main lines, in order of falling intensity (2θ = 15–90°):
two_theta	Rel. int.
30.66	100.0
37.67	99.0
33.00	67.6
62.05	34.2
22.37	34.0
21.71	33.4
49.33	26.6
26.54	26.0
63.69	24.6
50.93	20.1

Crystal structure
Unit cell a=9.982 b=9.982 c=9.982 alpha=27.68 beta=27.68 gamma=27.68
Sites, in units of the cell vectors:
1 Ac 0.000 0.000 0.000
2 Nd 0.129 0.129 0.129
3 Nd 0.871 0.871 0.871
4 Al 0.254 0.254 0.254
5 Al 0.746 0.746 0.746
6 Ag 0.407 0.407 0.407
7 Ag 0.593 0.593 0.593



Structure and simulated powder X-ray diffraction pattern of Cs2Ho2US6 (DFT lattice parameters and positions (PBE); Cu Kα (weighted mean of Kα1 and Kα2)).

Main lines, in order of falling intensity (2θ = 15–90°):
two_theta	Rel. int.
29.42	100.0
26.54	76.4
44.98	70.4
29.31	54.0
21.54	52.5
38.84	37.9
39.05	20.9
15.11	18.8
54.59	17.1
25.78	14.4

Crystal structure
Unit cell a=6.981 b=6.981 c=8.586 alpha=97.96 beta=97.96 gamma=120.02
Sites, in units of the cell vectors:
1 Cs 0.168 0.832 0.000
2 Cs 0.832 0.168 0.000
3 Ho 0.333 0.667 0.500
4 Ho 0.667 0.333 0.500
5 U 0.000 0.000 0.500
6 S 0.059 0.390 0.676
7 S 0.269 0.269 0.324
8 S 0.390 0.059 0.676
9 S 0.610 0.941 0.324
10 S 0.731 0.731 0.676
11 S 0.941 0.610 0.324



Structure and simulated powder X-ray diffraction pattern of Tb6Sc7 (DFT lattice parameters and positions (PBE); Cu Kα (weighted mean of Kα1 and Kα2)).

Main lines, in order of falling intensity (2θ = 15–90°):
two_theta	Rel. int.
28.31	100.0
32.58	69.5
31.21	61.5
33.57	50.1
51.97	29.3
53.56	26.2
58.57	24.6
32.92	22.0
50.12	21.0
16.45	18.4

Crystal structure
Unit cell a=11.798 b=11.798 c=11.798 alpha=30.99 beta=30.99 gamma=30.99
Sites, in units of the cell vectors:
1 Tb 0.048 0.048 0.048
2 Tb 0.150 0.150 0.150
3 Tb 0.333 0.333 0.333
4 Tb 0.667 0.667 0.667
5 Tb 0.850 0.850 0.850
6 Tb 0.952 0.952 0.952
7 Sc 0.088 0.590 0.590
8 Sc 0.410 0.410 0.912
9 Sc 0.410 0.912 0.410
10 Sc 0.500 0.500 0.500
11 Sc 0.590 0.088 0.590
12 Sc 0.590 0.590 0.088
13 Sc 0.912 0.410 0.410



Structure and simulated powder X-ray diffraction pattern of HgS (DFT lattice parameters and positions (PBE); Cu Kα (weighted mean of Kα1 and Kα2)).

Main lines, in order of falling intensity (2θ = 15–90°):
two_theta	Rel. int.
28.47	100.0
23.48	52.4
25.84	47.4
35.18	39.2
44.48	32.3
20.07	31.5
50.20	19.8
38.87	17.7
51.75	15.0
33.15	14.8

Crystal structure
Unit cell a=7.577 b=7.693 c=7.722 alpha=90.00 beta=90.00 gamma=90.00
Sites, in units of the cell vectors:
1 Hg 0.218 0.104 0.457
2 Hg 0.241 0.406 0.122
3 Hg 0.259 0.594 0.622
4 Hg 0.282 0.896 0.957
5 Hg 0.718 0.396 0.543
6 Hg 0.741 0.094 0.878
7 Hg 0.759 0.906 0.378
8 Hg 0.782 0.604 0.043
9 S 0.107 0.682 0.157
10 S 0.113 0.865 0.664
11 S 0.387 0.135 0.164
12 S 0.393 0.318 0.657
13 S 0.607 0.818 0.843
14 S 0.613 0.635 0.336
15 S 0.887 0.365 0.836
16 S 0.893 0.182 0.343



Structure and simulated powder X-ray diffraction pattern of ErPa3N4 (DFT lattice parameters and positions (PBE); Cu Kα (weighted mean of Kα1 and Kα2)).

Main lines, in order of falling intensity (2θ = 15–90°):
two_theta	Rel. int.
31.47	100.0
36.50	66.1
52.55	31.1
62.54	26.7
62.63	19.0
52.65	15.5
65.66	11.9
88.83	11.1
88.98	11.0
85.99	8.3

Crystal structure
Unit cell a=6.038 b=6.964 c=6.020 alpha=90.00 beta=109.48 gamma=90.00
Sites, in units of the cell vectors:
1 Er 0.000 0.124 0.250
2 Er 0.000 0.876 0.750
3 Pa 0.000 0.374 0.750
4 Pa 0.000 0.626 0.250
5 Pa 0.500 0.124 0.750
6 Pa 0.500 0.374 0.250
7 Pa 0.500 0.626 0.750
8 Pa 0.500 0.876 0.250
9 N 0.245 0.371 0.498
10 N 0.245 0.629 0.998
11 N 0.249 0.124 0.999
12 N 0.249 0.876 0.499
13 N 0.751 0.124 0.501
14 N 0.751 0.876 0.001
15 N 0.755 0.371 0.002
16 N 0.755 0.629 0.502



Structure and simulated powder X-ray diffraction pattern of ZnPd5Pt8 (DFT lattice parameters and positions (PBE); Cu Kα (weighted mean of Kα1 and Kα2)).

Main lines, in order of falling intensity (2θ = 15–90°):
two_theta	Rel. int.
44.49	100.0
36.40	87.6
43.87	76.2
37.68	70.6
36.55	68.3
28.18	61.3
43.50	54.7
75.83	39.8
40.55	39.2
77.28	34.4

Crystal structure
Unit cell a=6.679 b=6.679 c=6.679 alpha=108.49 beta=108.49 gamma=111.45
Sites, in units of the cell vectors:
1 Zn 0.000 0.000 0.000
2 Pd 0.219 0.517 0.923
3 Pd 0.250 0.750 0.500
4 Pd 0.483 0.407 0.702
5 Pd 0.593 0.296 0.077
6 Pd 0.704 0.781 0.298
7 Pt 0.125 0.053 0.696
8 Pt 0.357 0.429 0.304
9 Pt 0.422 0.029 0.282
10 Pt 0.571 0.875 0.928
11 Pt 0.747 0.140 0.718
12 Pt 0.860 0.578 0.607
13 Pt 0.947 0.643 0.072
14 Pt 0.971 0.253 0.393